For MgBiS, a cell relaxed with GGA-PBE gives the calculated powder X-ray diffraction pattern in this record (Cu Kα (λ = 1.5418 Å)).
Lines closer than 0.1° are merged.

Structural model:
```
MgBiS
1.0
2.1141 1.2206 12.1317
-2.1141 1.2206 12.1317
0.0000 -2.4412 12.1317
Mg Bi S
2 2 2
direct
0.1363 0.1363 0.1363
0.8637 0.8637 0.8637
0.3578 0.3578 0.3578
0.6422 0.6422 0.6422
0.2071 0.2071 0.2071
0.7929 0.7929 0.7929
```

Principal peaks in the range 10° ≤ 2θ ≤ 90°, in order of falling intensity:
- 2θ = 26.2°, I = 100.0
- 2θ = 29.8°, I = 86.3
- 2θ = 14.6°, I = 63.4
- 2θ = 42.8°, I = 50.5
- 2θ = 42.7°, I = 46.9
- 2θ = 34.8°, I = 36.7
- 2θ = 24.4°, I = 32.4
- 2θ = 31.4°, I = 31.3
- 2θ = 36.6°, I = 28.0
- 2θ = 43.4°, I = 27.8


For Mg2BiS4, a cell relaxed with GGA-PBE gives the calculated powder X-ray diffraction pattern in this record (Cu Kα (λ = 1.5418 Å)).
Lines closer than 0.1° are merged.

Structural model:
```
Mg2BiS4
1.0
1.8515 -6.1227 0.0000
1.8515 6.1227 0.0000
0.0000 0.0000 12.8525
Mg Bi S
4 2 8
direct
0.1263 0.8737 0.5640
0.1263 0.8737 0.9360
0.8737 0.1263 0.0640
0.8737 0.1263 0.4360
0.3825 0.6175 0.7500
0.6175 0.3825 0.2500
0.0486 0.9514 0.7500
0.2251 0.7749 0.1127
0.2251 0.7749 0.3873
0.5000 0.5000 0.0000
0.5000 0.5000 0.5000
0.7749 0.2251 0.6127
0.7749 0.2251 0.8873
0.9514 0.0486 0.2500
```

Principal peaks in the range 10° ≤ 2θ ≤ 90°, in order of falling intensity:
- 2θ = 16.0°, I = 100.0
- 2θ = 33.4°, I = 66.2
- 2θ = 13.8°, I = 53.6
- 2θ = 25.4°, I = 51.8
- 2θ = 35.6°, I = 40.4
- 2θ = 32.8°, I = 33.9
- 2θ = 26.1°, I = 29.4
- 2θ = 46.7°, I = 24.6
- 2θ = 32.4°, I = 23.4
- 2θ = 43.5°, I = 23.0


For Mg4BiSb2, a cell relaxed with GGA-PBE gives the calculated powder X-ray diffraction pattern in this record (Cu Kα (λ = 1.5418 Å)).
Lines closer than 0.1° are merged.

Structural model:
```
Mg4BiSb2
1.0
-4.3025 4.3025 6.0489
4.3025 -4.3025 6.0489
4.3025 4.3025 -6.0489
Mg Bi Sb
8 2 4
direct
0.2601 0.2842 0.5241
0.2601 0.7361 0.9759
0.2639 0.7399 0.5241
0.2842 0.2601 0.0241
0.7158 0.7399 0.9759
0.7361 0.2601 0.4759
0.7399 0.2639 0.0241
0.7399 0.7158 0.4759
0.1250 0.8750 0.2500
0.8750 0.1250 0.7500
0.0000 0.5000 0.5000
0.5000 0.0000 0.0000
0.5000 0.5000 0.0000
0.5000 0.5000 0.5000
```

Principal peaks in the range 10° ≤ 2θ ≤ 90°, in order of falling intensity:
- 2θ = 24.3°, I = 100.0
- 2θ = 20.7°, I = 68.2
- 2θ = 42.1°, I = 50.5
- 2θ = 24.4°, I = 50.4
- 2θ = 38.5°, I = 50.2
- 2θ = 42.0°, I = 25.4
- 2θ = 36.2°, I = 22.0
- 2θ = 58.3°, I = 20.5
- 2θ = 38.7°, I = 18.4
- 2θ = 76.8°, I = 16.2


For Mg3BiSb, a cell relaxed with GGA-PBE gives the calculated powder X-ray diffraction pattern in this record (Cu Kα (λ = 1.5418 Å)).
Lines closer than 0.1° are merged.

Structural model:
```
Mg3BiSb
1.0
6.7814 0.0000 0.0000
0.0000 4.7700 0.0000
-0.3565 0.0000 9.4961
Mg Bi Sb
6 2 2
direct
0.0013 0.2500 0.1471
0.4748 0.2500 0.6227
0.4832 0.7500 0.8604
0.5168 0.2500 0.1396
0.5252 0.7500 0.3773
0.9987 0.7500 0.8529
0.2264 0.7500 0.6020
0.7736 0.2500 0.3980
0.2505 0.7500 0.1137
0.7495 0.2500 0.8863
```

Principal peaks in the range 10° ≤ 2θ ≤ 90°, in order of falling intensity:
- 2θ = 22.8°, I = 100.0
- 2θ = 22.5°, I = 51.5
- 2θ = 37.2°, I = 44.5
- 2θ = 23.3°, I = 44.2
- 2θ = 26.5°, I = 38.3
- 2θ = 38.2°, I = 34.8
- 2θ = 44.4°, I = 33.9
- 2θ = 37.7°, I = 21.7
- 2θ = 26.3°, I = 19.7
- 2θ = 44.2°, I = 18.3


For Sm6Mg5Bi, a cell relaxed with GGA-PBE gives the calculated powder X-ray diffraction pattern in this record (Cu Kα (λ = 1.5418 Å)).
Lines closer than 0.1° are merged.

Structural model:
```
Sm6Mg5Bi
1.0
-2.7391 3.8209 8.2343
2.7391 -3.8209 8.2343
2.7391 3.8209 -8.2343
Sm Mg Bi
6 5 1
direct
0.0806 0.3320 0.7487
0.2485 0.0000 0.2485
0.4167 0.6680 0.7487
0.5833 0.3320 0.2513
0.7515 0.0000 0.7515
0.9194 0.6680 0.2513
0.0000 0.5000 0.5000
0.1659 0.1659 0.0000
0.3276 0.8276 0.5000
0.6724 0.1724 0.5000
0.8341 0.8341 0.0000
0.5000 0.5000 0.0000
```

Principal peaks in the range 10° ≤ 2θ ≤ 90°, in order of falling intensity:
- 2θ = 32.9°, I = 100.0
- 2θ = 32.7°, I = 51.0
- 2θ = 22.9°, I = 26.0
- 2θ = 58.4°, I = 19.8
- 2θ = 58.5°, I = 19.3
- 2θ = 58.9°, I = 18.9
- 2θ = 46.9°, I = 18.7
- 2θ = 40.5°, I = 12.8
- 2θ = 78.0°, I = 12.7
- 2θ = 23.3°, I = 12.5


For Sm5MgBi2, a cell relaxed with GGA-PBE gives the calculated powder X-ray diffraction pattern in this record (Cu Kα (λ = 1.5418 Å)).
Lines closer than 0.1° are merged.

Structural model:
```
Sm5MgBi2
1.0
2.7360 -6.0216 0.0000
2.7360 6.0216 0.0000
0.0000 0.0000 15.7645
Sm Mg Bi
10 2 4
direct
0.0622 0.9378 0.6000
0.0622 0.9378 0.9000
0.3745 0.6255 0.5467
0.3745 0.6255 0.9533
0.4289 0.5711 0.2500
0.5711 0.4289 0.7500
0.6255 0.3745 0.0467
0.6255 0.3745 0.4533
0.9378 0.0622 0.1000
0.9378 0.0622 0.4000
0.2788 0.7212 0.7500
0.7212 0.2788 0.2500
0.2162 0.7838 0.1255
0.2162 0.7838 0.3745
0.7838 0.2162 0.6255
0.7838 0.2162 0.8745
```

Principal peaks in the range 10° ≤ 2θ ≤ 90°, in order of falling intensity:
- 2θ = 32.5°, I = 100.0
- 2θ = 28.9°, I = 56.6
- 2θ = 32.7°, I = 50.9
- 2θ = 33.6°, I = 28.7
- 2θ = 30.2°, I = 27.9
- 2θ = 45.2°, I = 22.1
- 2θ = 18.7°, I = 21.1
- 2θ = 58.3°, I = 19.3
- 2θ = 28.1°, I = 17.9
- 2θ = 56.1°, I = 17.4


For Mg6Sn3Bi, a cell relaxed with GGA-PBE gives the calculated powder X-ray diffraction pattern in this record (Cu Kα (λ = 1.5418 Å)).
Lines closer than 0.1° are merged.

Structural model:
```
Mg6Sn3Bi
1.0
4.7820 -7.7091 0.0000
4.7820 7.7091 0.0000
0.0000 0.0000 7.3267
Mg Sn Bi
12 6 2
direct
0.0402 0.9598 0.5000
0.0801 0.4920 0.9976
0.2680 0.7320 0.3413
0.2958 0.3308 0.3803
0.3308 0.2958 0.8803
0.4920 0.0801 0.4976
0.5080 0.9199 0.9976
0.6692 0.7042 0.3803
0.7042 0.6692 0.8803
0.7320 0.2680 0.8413
0.9199 0.5080 0.4976
0.9598 0.0402 0.0000
0.0413 0.2732 0.6608
0.2732 0.0413 0.1608
0.4144 0.5856 0.1106
0.5856 0.4144 0.6106
0.7268 0.9587 0.6608
0.9587 0.7268 0.1608
0.2006 0.7994 0.7198
0.7994 0.2006 0.2198
```

Principal peaks in the range 10° ≤ 2θ ≤ 90°, in order of falling intensity:
- 2θ = 23.1°, I = 100.0
- 2θ = 25.1°, I = 72.9
- 2θ = 31.1°, I = 40.2
- 2θ = 40.7°, I = 39.4
- 2θ = 41.4°, I = 35.8
- 2θ = 19.6°, I = 33.9
- 2θ = 24.3°, I = 32.8
- 2θ = 37.1°, I = 30.8
- 2θ = 31.4°, I = 25.9
- 2θ = 43.9°, I = 25.3


For Mg4Sn2Bi, a cell relaxed with GGA-PBE gives the calculated powder X-ray diffraction pattern in this record (Cu Kα (λ = 1.5418 Å)).
Lines closer than 0.1° are merged.

Structural model:
```
Mg4Sn2Bi
1.0
4.5254 -6.2686 0.0000
4.5254 6.2686 0.0000
-4.4770 0.0000 6.2500
Mg Sn Bi
8 4 2
direct
0.0014 0.9986 0.5000
0.1530 0.4823 0.8330
0.3281 0.8312 0.6608
0.4813 0.6505 0.3283
0.4823 0.1530 0.3330
0.6505 0.4813 0.8283
0.8312 0.3281 0.1608
0.9986 0.0014 0.0000
0.1110 0.7397 0.1999
0.2410 0.3709 0.4594
0.3709 0.2410 0.9594
0.7397 0.1110 0.6999
0.6154 0.8664 0.0806
0.8664 0.6154 0.5806
```

Principal peaks in the range 10° ≤ 2θ ≤ 90°, in order of falling intensity:
- 2θ = 24.5°, I = 100.0
- 2θ = 24.2°, I = 52.6
- 2θ = 32.0°, I = 43.6
- 2θ = 31.9°, I = 43.3
- 2θ = 37.7°, I = 33.2
- 2θ = 24.6°, I = 33.0
- 2θ = 31.3°, I = 28.1
- 2θ = 31.4°, I = 28.1
- 2θ = 37.9°, I = 27.7
- 2θ = 45.8°, I = 21.0


For SrMg3Bi3, a cell relaxed with GGA-PBE gives the calculated powder X-ray diffraction pattern in this record (Cu Kα (λ = 1.5418 Å)).
Lines closer than 0.1° are merged.

Structural model:
```
SrMg3Bi3
1.0
11.7935 0.0000 0.0000
0.0000 4.6044 0.0000
-5.8912 0.0000 10.2250
Sr Mg Bi
2 6 6
direct
0.1667 0.2500 0.3331
0.8333 0.7500 0.6669
0.0795 0.2500 0.6326
0.1327 0.7500 0.0531
0.4469 0.7500 0.5790
0.5531 0.2500 0.4210
0.8673 0.2500 0.9469
0.9205 0.7500 0.3674
0.0839 0.2500 0.8837
0.2002 0.7500 0.5838
0.3841 0.7500 0.2994
0.6159 0.2500 0.7006
0.7998 0.2500 0.4162
0.9161 0.7500 0.1163
```

Principal peaks in the range 10° ≤ 2θ ≤ 90°, in order of falling intensity:
- 2θ = 23.0°, I = 100.0
- 2θ = 26.1°, I = 61.4
- 2θ = 30.2°, I = 50.2
- 2θ = 24.5°, I = 49.1
- 2θ = 40.4°, I = 36.1
- 2θ = 43.3°, I = 35.3
- 2θ = 45.9°, I = 34.2
- 2θ = 37.3°, I = 27.4
- 2θ = 57.5°, I = 24.4
- 2θ = 21.2°, I = 22.6


For MgTaBi2, a cell relaxed with GGA-PBE gives the calculated powder X-ray diffraction pattern in this record (Cu Kα (λ = 1.5418 Å)).
Lines closer than 0.1° are merged.

Structural model:
```
MgTaBi2
1.0
6.6892 0.0000 0.0000
0.0000 6.6892 0.0000
0.0000 0.0000 12.9998
Mg Ta Bi
4 4 8
direct
0.0000 0.0000 0.0000
0.0000 0.5000 0.2500
0.5000 0.0000 0.7500
0.5000 0.5000 0.5000
0.0000 0.0000 0.5000
0.0000 0.5000 0.7500
0.5000 0.0000 0.2500
0.5000 0.5000 0.0000
0.2286 0.2500 0.6250
0.2500 0.7286 0.8750
0.2500 0.7714 0.3750
0.2714 0.2500 0.1250
0.7286 0.7500 0.1250
0.7500 0.2286 0.3750
0.7500 0.2714 0.8750
0.7714 0.7500 0.6250
```

Principal peaks in the range 10° ≤ 2θ ≤ 90°, in order of falling intensity:
- 2θ = 23.3°, I = 100.0
- 2θ = 38.6°, I = 49.0
- 2θ = 45.1°, I = 34.0
- 2θ = 38.0°, I = 24.9
- 2θ = 14.9°, I = 24.1
- 2θ = 46.1°, I = 16.9
- 2θ = 69.1°, I = 16.6
- 2θ = 61.2°, I = 13.9
- 2θ = 70.3°, I = 8.5
- 2θ = 54.9°, I = 8.4


For Mg2TaBi, a cell relaxed with GGA-PBE gives the calculated powder X-ray diffraction pattern in this record (Cu Kα (λ = 1.5418 Å)).
Lines closer than 0.1° are merged.

Structural model:
```
Mg2TaBi
1.0
8.1697 0.0000 0.0000
0.0000 8.1697 0.0000
0.0000 0.0000 5.7153
Mg Ta Bi
8 4 4
direct
0.2475 0.2500 0.1250
0.2500 0.7475 0.3750
0.2500 0.7525 0.8750
0.2525 0.2500 0.6250
0.7475 0.7500 0.6250
0.7500 0.2475 0.8750
0.7500 0.2525 0.3750
0.7525 0.7500 0.1250
0.0000 0.0000 0.0000
0.0000 0.5000 0.2500
0.5000 0.0000 0.7500
0.5000 0.5000 0.5000
0.0000 0.0000 0.5000
0.0000 0.5000 0.7500
0.5000 0.0000 0.2500
0.5000 0.5000 0.0000
```

Principal peaks in the range 10° ≤ 2θ ≤ 90°, in order of falling intensity:
- 2θ = 21.8°, I = 100.0
- 2θ = 35.0°, I = 83.9
- 2θ = 31.0°, I = 73.2
- 2θ = 47.4°, I = 72.6
- 2θ = 44.4°, I = 27.7
- 2θ = 67.0°, I = 26.4
- 2θ = 49.9°, I = 23.3
- 2θ = 57.7°, I = 20.4
- 2θ = 75.6°, I = 18.9
- 2θ = 86.5°, I = 17.0


For Tb4Mg3Bi, a cell relaxed with GGA-PBE gives the calculated powder X-ray diffraction pattern in this record (Cu Kα (λ = 1.5418 Å)).
Lines closer than 0.1° are merged.

Structural model:
```
Tb4Mg3Bi
1.0
2.6965 1.5568 8.8119
-2.6965 1.5568 8.8119
0.0000 -3.1137 8.8119
Tb Mg Bi
4 3 1
direct
0.1243 0.1243 0.1243
0.3745 0.3745 0.3745
0.6255 0.6255 0.6255
0.8757 0.8757 0.8757
0.0000 0.0000 0.0000
0.2550 0.2550 0.2550
0.7450 0.7450 0.7450
0.5000 0.5000 0.5000
```

Principal peaks in the range 10° ≤ 2θ ≤ 90°, in order of falling intensity:
- 2θ = 33.2°, I = 100.0
- 2θ = 59.4°, I = 38.0
- 2θ = 47.7°, I = 18.3
- 2θ = 23.3°, I = 17.7
- 2θ = 79.5°, I = 16.4
- 2θ = 69.7°, I = 11.7
- 2θ = 20.2°, I = 8.7
- 2θ = 10.0°, I = 8.6
- 2θ = 53.7°, I = 7.4
- 2θ = 19.3°, I = 7.2